GePPb2: computed powder XRD pattern (Cu Kα (weighted mean of Kα1 and Kα2)), based on the PBE geometry in Alexandria.
Intensities are scaled so that the largest is 100.

Largest 8 diffraction maxima, in order of rising 2θ, 10 to 90 degrees two-theta:
2θ/deg  I_rel
24.4  41.0
34.7  100.0
42.9  13.2
49.9  18.1
56.3  18.4
62.2  37.6
73.3  11.8
83.7  17.1

Structure:
```
data_GePPb2
_chemical_formula_sum 'Ge4 P4 Pb8'
_space_group_name_H-M_alt 'F m -3 m'
_space_group_IT_number 225
_space_group_name_Hall '-F 4 2 3'
_cell_length_a 7.307
_cell_length_b 7.307
_cell_length_c 7.307
_cell_angle_alpha 90.00
_cell_angle_beta 90.00
_cell_angle_gamma 90.00
loop_
_atom_site_label
_atom_site_type_symbol
_atom_site_fract_x
_atom_site_fract_y
_atom_site_fract_z
Ge1 Ge 0.000 0.000 0.000
P1 P 0.000 0.000 0.500
Pb1 Pb 0.250 0.250 0.250
```